# 1
This entry pairs a crystal structure of Ti5Sb3 with its computed powder diffractogram. Radiation: copper Kα. Structure: the PBE geometry in the Materials Project.
Neutral-atom scattering factors, no anomalous dispersion.

Atomic structure:
```
data_Ti5Sb3
_chemical_formula_sum 'Ti20 Sb12'
_cell_length_a 10.191
_cell_length_b 8.367
_cell_length_c 7.209
_cell_angle_alpha 90.00
_cell_angle_beta 90.00
_cell_angle_gamma 90.00
_space_group_name_H-M_alt 'P n m a'
_space_group_IT_number 62
loop_
_space_group_symop_operation_xyz
'x,y,z'
'-x,-y,-z'
'-x+1/2,-y,z+1/2'
'x+1/2,y,-z+1/2'
'x+1/2,-y+1/2,-z+1/2'
'-x+1/2,y+1/2,z+1/2'
'-x,y+1/2,-z'
'x,-y+1/2,z'
loop_
_atom_site_label
_atom_site_type_symbol
_atom_site_fract_x
_atom_site_fract_y
_atom_site_fract_z
_atom_site_occupancy
Ti1 Ti 0.004 0.250 0.022 1
Ti2 Ti 0.052 0.062 0.705 1
Ti3 Ti 0.217 0.750 0.324 1
Ti4 Ti 0.235 0.250 0.317 1
Sb1 Sb 0.027 0.750 0.591 1
Sb2 Sb 0.179 0.508 0.064 1
```

The 12 most intense peaks (10 to 80 degrees two-theta), low angle first:
(hkl)	Position (°2θ)	d_spacing	Rel. int.
1 2 1	26.16	3.407	523
2 2 0	27.59	3.233	251
3 0 1	29.06	3.073	509
1 2 2	33.99	2.638	504
3 2 1	36.28	2.476	417
2 2 2	37.38	2.405	1000
4 2 0	41.52	2.175	266
0 4 0	43.25	2.092	325
2 2 3	47.12	1.929	246
1 0 4	51.47	1.775	314
3 4 1	52.95	1.729	164
7 0 2	69.62	1.350	151

# 2
This entry pairs a crystal structure of Ba2Hf7O16 with its computed powder diffractogram. Radiation: copper Kα. Structure: the PBE geometry in the Materials Project.
Neutral-atom scattering factors, no anomalous dispersion.

Atomic structure:
```
data_Ba2Hf7O16
_chemical_formula_sum 'Ba6 Hf21 O48'
_cell_length_a 6.4674
_cell_length_b 6.4674
_cell_length_c 27.1110
_cell_angle_alpha 90.00
_cell_angle_beta 90.00
_cell_angle_gamma 120.00
_space_group_name_H-M_alt 'R -3'
_space_group_IT_number 148
_space_group_name_Hall '-R 3'
loop_
_atom_site_label
_atom_site_type_symbol
_atom_site_fract_x
_atom_site_fract_y
_atom_site_fract_z
_atom_site_occupancy
Ba1 Ba 0.0000 0.0000 0.1661 1
Hf1 Hf 0.0000 0.0000 0.5000 1
Hf2 Hf 0.0026 0.6351 0.3834 1
O1 O 0.0000 0.0000 0.0670 1
O2 O 0.0000 0.0000 0.2668 1
O3 O 0.0064 0.7391 0.4547 1
O4 O 0.0129 0.7266 0.6374 1
```

The 12 most intense peaks (10 to 80 degrees two-theta), low angle first:
(hkl)	Position (°2θ)	d_spacing	Rel. int.
2 -1 3	29.33	3.045	1000
0 0 9	29.66	3.012	311
1 1 6	34.09	2.630	483
3 0 0	48.78	1.867	274
2 -1 12	49.20	1.852	266
2 2 3	57.94	1.592	120
0 3 9	58.13	1.587	249
1 1 15	58.50	1.578	143
4 -2 6	60.85	1.522	91
2 2 12	71.80	1.315	81
5 -1 3	79.06	1.211	94
4 -2 15	79.55	1.205	45

# 3
This entry pairs a crystal structure of Ca4Mg4Fe3H22 with its computed powder diffractogram. Radiation: copper Kα. Structure: the PBE geometry in the Materials Project.
Neutral-atom scattering factors, no anomalous dispersion.

Atomic structure:
```
data_Ca4Mg4Fe3H22
_chemical_formula_sum 'Ca4 Mg4 Fe3 H22'
_cell_length_a 6.685
_cell_length_b 6.685
_cell_length_c 6.685
_cell_angle_alpha 90.00
_cell_angle_beta 90.00
_cell_angle_gamma 90.00
_space_group_name_H-M_alt 'P -4 3 m'
_space_group_IT_number 215
_space_group_name_Hall 'P -4 2 3'
loop_
_atom_site_label
_atom_site_type_symbol
_atom_site_fract_x
_atom_site_fract_y
_atom_site_fract_z
_atom_site_occupancy
Ca1 Ca 0.209 0.209 0.209 1
Mg1 Mg 0.288 0.288 0.712 1
Fe1 Fe 0.000 0.500 0.500 1
H1 H 0.000 0.263 0.500 1
H2 H 0.127 0.127 0.873 1
H3 H 0.236 0.500 0.500 1
```

The 12 most intense peaks (10 to 80 degrees two-theta), low angle first:
(hkl)	Position (°2θ)	d_spacing	Rel. int.
1 1 1	23.04	3.860	672
2 1 0	29.89	2.990	159
2 1 1	32.81	2.729	412
2 2 0	38.07	2.364	1000
3 1 0	42.77	2.114	118
3 1 1	44.97	2.016	260
3 2 1	51.12	1.787	102
4 0 0	54.94	1.671	125
4 1 1	58.58	1.576	183
3 3 1	60.35	1.534	115
4 2 2	68.79	1.365	179
4 3 1	72.03	1.311	121

# 4
This entry pairs a crystal structure of LiSn2P3O12 with its computed powder diffractogram. Radiation: copper Kα. Structure: the PBE geometry in the Materials Project.
Neutral-atom scattering factors, no anomalous dispersion.

Atomic structure:
```
data_LiSn2P3O12
_chemical_formula_sum 'Li2 Sn4 P6 O24'
_cell_length_a 8.526
_cell_length_b 8.553
_cell_length_c 9.126
_cell_angle_alpha 117.57
_cell_angle_beta 90.00
_cell_angle_gamma 119.86
_space_group_name_H-M_alt 'P -1'
_space_group_IT_number 2
loop_
_space_group_symop_operation_xyz
'x,y,z'
'-x,-y,-z'
loop_
_atom_site_label
_atom_site_type_symbol
_atom_site_fract_x
_atom_site_fract_y
_atom_site_fract_z
_atom_site_occupancy
Li1 Li 0.217 0.128 0.372 1
Sn1 Sn 0.157 0.308 0.956 1
Sn2 Sn 0.350 0.710 0.567 1
P1 P 0.041 0.793 0.753 1
P2 P 0.250 0.787 0.246 1
P3 P 0.455 0.497 0.747 1
O1 O 0.015 0.976 0.790 1
O2 O 0.026 0.752 0.901 1
O3 O 0.047 0.739 0.212 1
O4 O 0.119 0.399 0.419 1
O5 O 0.238 0.856 0.730 1
O6 O 0.278 0.632 0.095 1
O7 O 0.291 0.797 0.414 1
O8 O 0.321 0.336 0.795 1
O9 O 0.347 0.332 0.118 1
O10 O 0.371 0.613 0.730 1
O11 O 0.382 0.015 0.279 1
O12 O 0.466 0.359 0.565 1
```

The 12 most intense peaks (10 to 80 degrees two-theta), low angle first:
(hkl)	Position (°2θ)	d_spacing	Rel. int.
0 1 0	14.12	6.273	264
1 0 -1	14.25	6.216	485
-1 1 1	19.43	4.568	924
0 1 -2	19.55	4.542	524
1 -2 1	20.79	4.272	1000
1 1 -2	23.86	3.730	431
0 2 0	28.46	3.137	287
2 0 -2	28.72	3.108	558
1 1 1	31.08	2.877	379
2 -1 2	31.31	2.857	675
-3 2 1	35.71	2.514	305
3 0 -1	36.47	2.464	293

# 5
This entry pairs a crystal structure of TiVCuS4 with its computed powder diffractogram. Radiation: copper Kα. Structure: the PBE geometry in the Materials Project.
Neutral-atom scattering factors, no anomalous dispersion.

Atomic structure:
```
data_TiVCuS4
_chemical_formula_sum 'Ti4 V4 Cu4 S16'
_cell_length_a 7.022
_cell_length_b 7.049
_cell_length_c 9.953
_cell_angle_alpha 90.00
_cell_angle_beta 90.00
_cell_angle_gamma 90.00
_space_group_name_H-M_alt 'I m m a'
_space_group_IT_number 74
_space_group_name_Hall '-I 2b 2'
loop_
_atom_site_label
_atom_site_type_symbol
_atom_site_fract_x
_atom_site_fract_y
_atom_site_fract_z
_atom_site_occupancy
Ti1 Ti 0.250 0.250 0.250 1
V1 V 0.000 0.000 0.000 1
Cu1 Cu 0.000 0.250 0.624 1
S1 S 0.000 0.009 0.244 1
S2 S 0.237 0.250 0.005 1
```

The 12 most intense peaks (10 to 80 degrees two-theta), low angle first:
(hkl)	Position (°2θ)	d_spacing	Rel. int.
2 0 0	25.32	3.518	403
1 2 1	29.78	3.000	1000
0 0 4	36.10	2.488	399
0 2 4	44.58	2.033	109
1 0 5	47.45	1.916	260
3 2 1	47.52	1.913	155
0 4 0	51.96	1.760	743
4 0 0	52.10	1.756	146
1 4 3	60.98	1.519	56
3 0 5	61.14	1.516	56
1 4 5	72.95	1.297	73
0 0 8	76.60	1.244	129

# 6
This entry pairs a crystal structure of Ge2RuC4Cl6O4 with its computed powder diffractogram. Radiation: copper Kα. Structure: the PBE geometry in the Materials Project.
Neutral-atom scattering factors, no anomalous dispersion.

Atomic structure:
```
data_Ge2RuC4Cl6O4
_chemical_formula_sum 'Ge4 Ru2 C8 Cl12 O8'
_cell_length_a 8.661
_cell_length_b 10.350
_cell_length_c 12.212
_cell_angle_alpha 90.00
_cell_angle_beta 129.92
_cell_angle_gamma 90.00
_space_group_name_H-M_alt 'P 1 21/c 1'
_space_group_IT_number 14
loop_
_space_group_symop_operation_xyz
'x,y,z'
'-x,-y,-z'
'-x,y+1/2,-z+1/2'
'x,-y+1/2,z+1/2'
loop_
_atom_site_label
_atom_site_type_symbol
_atom_site_fract_x
_atom_site_fract_y
_atom_site_fract_z
_atom_site_occupancy
Ge1 Ge 0.219 0.169 0.005 1
Ru1 Ru 0.000 0.000 0.000 1
C1 C 0.137 0.634 0.475 1
C2 C 0.203 0.517 0.709 1
Cl1 Cl 0.127 0.130 0.481 1
Cl2 Cl 0.243 0.146 0.839 1
Cl3 Cl 0.466 0.668 0.299 1
O1 O 0.216 0.711 0.458 1
O2 O 0.320 0.527 0.831 1
```

The 12 most intense peaks (10 to 80 degrees two-theta), low angle first:
(hkl)	Position (°2θ)	d_spacing	Rel. int.
0 1 1	12.75	6.945	1000
1 0 0	13.35	6.634	556
1 0 -2	14.56	6.085	263
1 1 0	15.85	5.590	500
1 1 -2	16.90	5.246	423
0 0 2	18.95	4.683	401
1 2 -1	20.01	4.438	182
2 2 -2	26.90	3.314	467
1 3 -1	27.85	3.203	295
1 0 2	29.56	3.022	312
2 1 -4	30.63	2.919	195
2 3 -1	34.14	2.626	258

# 7
This entry pairs a crystal structure of Sn4P3O12 with its computed powder diffractogram. Radiation: copper Kα. Structure: the PBE geometry in the Materials Project.
Neutral-atom scattering factors, no anomalous dispersion.

Atomic structure:
```
data_Sn4P3O12
_chemical_formula_sum 'Sn8 P6 O24'
_cell_length_a 9.7122
_cell_length_b 9.7122
_cell_length_c 6.9570
_cell_angle_alpha 90.00
_cell_angle_beta 90.00
_cell_angle_gamma 120.00
_space_group_name_H-M_alt 'P 63'
_space_group_IT_number 173
loop_
_space_group_symop_operation_xyz
'x,y,z'
'x-y,x,z+1/2'
'-y,x-y,z'
'-x,-y,z+1/2'
'-x+y,-x,z'
'y,-x+y,z+1/2'
loop_
_atom_site_label
_atom_site_type_symbol
_atom_site_fract_x
_atom_site_fract_y
_atom_site_fract_z
_atom_site_occupancy
Sn1 Sn 0.0201 0.2582 0.0000 1
Sn2 Sn 0.3333 0.6667 0.6916 1
P1 P 0.0221 0.6139 0.0111 1
O1 O 0.0767 0.7309 0.1835 1
O2 O 0.0841 0.7237 0.8289 1
O3 O 0.0992 0.5073 0.0074 1
O4 O 0.1630 0.4896 0.5081 1
```

The 12 most intense peaks (10 to 80 degrees two-theta), low angle first:
(hkl)	Position (°2θ)	d_spacing	Rel. int.
1 0 1	16.54	5.361	258
1 1 1	22.33	3.982	215
2 0 1	24.74	3.599	256
0 0 2	25.61	3.478	277
2 1 0	28.07	3.179	205
1 2 1	30.93	2.891	1000
1 1 2	31.64	2.828	298
3 0 0	31.92	2.804	220
1 1 3	43.23	2.093	128
2 1 3	48.60	1.874	316
3 2 1	48.99	1.859	256
4 0 2	50.73	1.800	200

# 8
This entry pairs a crystal structure of Nb2Tc with its computed powder diffractogram. Radiation: copper Kα. Structure: the PBE geometry in the Materials Project.
Neutral-atom scattering factors, no anomalous dispersion.

Atomic structure:
```
data_Nb2Tc
_chemical_formula_sum 'Nb8 Tc4'
_cell_length_a 3.228
_cell_length_b 4.692
_cell_length_c 13.493
_cell_angle_alpha 90.00
_cell_angle_beta 90.00
_cell_angle_gamma 90.00
_space_group_name_H-M_alt 'F m m m'
_space_group_IT_number 69
_space_group_name_Hall '-F 2 2'
loop_
_atom_site_label
_atom_site_type_symbol
_atom_site_fract_x
_atom_site_fract_y
_atom_site_fract_z
_atom_site_occupancy
Nb1 Nb 0.000 0.000 0.161 1
Tc1 Tc 0.000 0.000 0.500 1
```

The 11 most intense peaks (10 to 80 degrees two-theta), low angle first:
(hkl)	Position (°2θ)	d_spacing	Rel. int.
0 0 2	13.12	6.746	13
0 2 0	38.37	2.346	271
1 1 3	39.36	2.289	1000
0 0 6	40.10	2.249	232
1 1 5	48.03	1.894	8
0 2 6	56.70	1.623	164
2 0 0	57.06	1.614	83
1 3 3	70.05	1.343	174
2 2 0	70.87	1.330	85
2 0 6	72.02	1.311	78
1 1 9	72.36	1.306	150

# 9
This entry pairs a crystal structure of UGaPt with its computed powder diffractogram. Radiation: copper Kα. Structure: the PBE geometry in the Materials Project.
Neutral-atom scattering factors, no anomalous dispersion.

Atomic structure:
```
data_UGaPt
_chemical_formula_sum 'U3 Ga3 Pt3'
_cell_length_a 7.0288
_cell_length_b 7.0288
_cell_length_c 4.1238
_cell_angle_alpha 90.00
_cell_angle_beta 90.00
_cell_angle_gamma 120.00
_space_group_name_H-M_alt 'P -6 2 m'
_space_group_IT_number 189
_space_group_name_Hall 'P -6 -2'
loop_
_atom_site_label
_atom_site_type_symbol
_atom_site_fract_x
_atom_site_fract_y
_atom_site_fract_z
_atom_site_occupancy
U1 U 0.0000 0.4215 0.0000 1
Ga1 Ga 0.0000 0.7569 0.5000 1
Pt1 Pt 0.0000 0.0000 0.0000 1
Pt2 Pt 0.3333 0.6667 0.5000 1
```

The 12 most intense peaks (10 to 80 degrees two-theta), low angle first:
(hkl)	Position (°2θ)	d_spacing	Rel. int.
1 1 0	25.34	3.514	181
2 0 0	29.35	3.044	167
1 1 1	33.50	2.675	668
2 0 1	36.70	2.449	1000
2 1 0	39.15	2.301	234
0 0 2	43.91	2.062	254
3 0 0	44.66	2.029	221
2 1 1	45.13	2.009	205
3 1 1	59.13	1.562	185
2 1 2	60.27	1.535	134
3 0 2	64.42	1.446	151
3 2 1	71.30	1.323	203

# 10
This entry pairs a crystal structure of MgSb2O4 with its computed powder diffractogram. Radiation: copper Kα. Structure: the PBE geometry in the Materials Project.
Neutral-atom scattering factors, no anomalous dispersion.

Atomic structure:
```
data_MgSb2O4
_chemical_formula_sum 'Mg4 Sb8 O16'
_cell_length_a 13.305
_cell_length_b 3.289
_cell_length_c 10.442
_cell_angle_alpha 90.00
_cell_angle_beta 110.37
_cell_angle_gamma 90.00
_space_group_name_H-M_alt 'C 1 2/m 1'
_space_group_IT_number 12
loop_
_space_group_symop_operation_xyz
'x,y,z'
'-x,-y,-z'
'-x,y,-z'
'x,-y,z'
'x+1/2,y+1/2,z'
'-x+1/2,-y+1/2,-z'
'-x+1/2,y+1/2,-z'
'x+1/2,-y+1/2,z'
loop_
_atom_site_label
_atom_site_type_symbol
_atom_site_fract_x
_atom_site_fract_y
_atom_site_fract_z
_atom_site_occupancy
Mg1 Mg 0.243 0.000 0.247 1
Sb1 Sb 0.119 0.000 0.897 1
Sb2 Sb 0.119 0.500 0.411 1
O1 O 0.094 0.000 0.277 1
O2 O 0.101 0.500 0.766 1
O3 O 0.230 0.500 0.107 1
O4 O 0.236 0.000 0.606 1
```

The 12 most intense peaks (10 to 80 degrees two-theta), low angle first:
(hkl)	Position (°2θ)	d_spacing	Rel. int.
2 0 -2	18.75	4.733	1000
2 0 2	26.78	3.329	527
4 0 -2	28.07	3.179	140
4 0 0	28.63	3.118	338
1 1 1	30.31	2.949	580
3 1 -1	33.97	2.639	377
1 1 -3	37.70	2.386	503
6 0 -2	40.83	2.210	212
1 1 3	41.36	2.183	225
5 1 1	49.24	1.850	232
0 2 0	55.91	1.645	121
5 1 -5	56.05	1.641	169